# 1
This entry pairs a crystal structure of AcCrH5 with its computed PXRD pattern. Radiation: Cu Kα, 1.54184 Å. Structure: the PBE geometry in Alexandria.

Structure:
```
data_AcCrH5
_cell_length_a 3.9659
_cell_length_b 5.2406
_cell_length_c 7.0389
_cell_angle_alpha 90.00
_cell_angle_beta 90.00
_cell_angle_gamma 90.00
_symmetry_space_group_name_H-M 'I m m m'
_symmetry_Int_Tables_number 71
_symmetry_space_group_name_Hall '-I 2 2'
loop_
_atom_site_label
_atom_site_fract_x
_atom_site_fract_y
_atom_site_fract_z
_atom_site_occupancy
Ac1 0.0000 0.0000 0.0000 1
Cr1 0.0000 0.0000 0.5000 1
H1 0.0000 0.2478 0.3382 1
H2 0.0000 0.5000 0.0000 1
```

Peak list (10 most intense, 15 to 90 degrees two-theta, sorted by position)
(0 1 1), 21.1°, I = 70
(0 0 2), 25.3°, I = 66
(1 0 1), 25.8°, I = 44
(1 1 0), 28.2°, I = 100
(0 2 0), 34.2°, I = 30
(1 1 2), 38.3°, I = 89
(0 2 2), 43.0°, I = 33
(1 2 1), 43.3°, I = 25
(1 3 0), 57.6°, I = 24
(1 3 2), 64.0°, I = 28

=====

# 2
This entry pairs a crystal structure of CaHg2Pd3 with its computed PXRD pattern. Radiation: Cu Kα, 1.54184 Å. Structure: the PBE geometry in Alexandria.

Structure:
```
data_CaHg2Pd3
_cell_length_a 4.7110
_cell_length_b 4.7110
_cell_length_c 12.2925
_cell_angle_alpha 90.00
_cell_angle_beta 90.00
_cell_angle_gamma 120.00
_symmetry_space_group_name_H-M 'P 63/m m c'
_symmetry_Int_Tables_number 194
_symmetry_space_group_name_Hall '-P 6c 2c'
loop_
_atom_site_label
_atom_site_fract_x
_atom_site_fract_y
_atom_site_fract_z
_atom_site_occupancy
Ca1 0.0000 0.0000 0.2500 1
Hg1 0.3333 0.6667 0.0937 1
Pd1 0.0000 0.0000 0.0000 1
Pd2 0.3333 0.6667 0.6347 1
```

Peak list (10 most intense, 15 to 90 degrees two-theta, sorted by position)
(1 0 0), 21.8°, I = 17
(0 0 4), 29.1°, I = 14
(1 0 3), 30.9°, I = 32
(1 0 4), 36.6°, I = 60
(1 1 0), 38.2°, I = 100
(1 0 5), 43.0°, I = 13
(1 1 4), 48.7°, I = 20
(2 0 4), 53.9°, I = 19
(2 1 4), 68.0°, I = 19
(3 0 0), 69.1°, I = 17

=====

# 3
This entry pairs a crystal structure of Re3Mo6W2 with its computed PXRD pattern. Radiation: Cu Kα, 1.54184 Å. Structure: the PBE geometry in Alexandria.

Structure:
```
data_Re3Mo6W2
_cell_length_a 4.8371
_cell_length_b 8.4069
_cell_length_c 9.0148
_cell_angle_alpha 90.00
_cell_angle_beta 90.00
_cell_angle_gamma 90.00
_symmetry_space_group_name_H-M 'I m m m'
_symmetry_Int_Tables_number 71
_symmetry_space_group_name_Hall '-I 2 2'
loop_
_atom_site_label
_atom_site_fract_x
_atom_site_fract_y
_atom_site_fract_z
_atom_site_occupancy
Re1 0.0000 0.0000 0.0000 1
Re2 0.0000 0.3079 0.5000 1
Mo1 0.0000 0.1741 0.2313 1
Mo2 0.0000 0.5000 0.2786 1
W1 0.2473 0.0000 0.5000 1
```

Peak list (10 most intense, 15 to 90 degrees two-theta, sorted by position)
(0 0 2), 19.7°, I = 16
(1 2 1), 29.9°, I = 32
(0 3 1), 33.5°, I = 21
(2 0 0), 37.2°, I = 18
(0 0 4), 40.0°, I = 99
(1 2 3), 41.4°, I = 35
(1 3 2), 42.3°, I = 100
(2 1 5), 65.5°, I = 19
(2 5 1), 68.8°, I = 19
(3 3 2), 70.6°, I = 20

=====

# 4
This entry pairs a crystal structure of CaMg6Zr with its computed PXRD pattern. Radiation: Cu Kα, 1.54184 Å. Structure: the PBE geometry in Alexandria.

Structure:
```
data_CaMg6Zr
_cell_length_a 6.5068
_cell_length_b 6.5068
_cell_length_c 4.6036
_cell_angle_alpha 90.00
_cell_angle_beta 90.00
_cell_angle_gamma 90.00
_symmetry_space_group_name_H-M 'P 4/m m m'
_symmetry_Int_Tables_number 123
_symmetry_space_group_name_Hall '-P 4 2'
loop_
_atom_site_label
_atom_site_fract_x
_atom_site_fract_y
_atom_site_fract_z
_atom_site_occupancy
Ca1 0.0000 0.0000 0.0000 1
Mg1 0.0000 0.5000 0.0000 1
Mg2 0.2631 0.2631 0.5000 1
Zr1 0.5000 0.5000 0.0000 1
```

Peak list (10 most intense, 15 to 90 degrees two-theta, sorted by position)
(1 1 0), 19.3°, I = 27
(2 0 0), 27.4°, I = 22
(2 0 1), 33.7°, I = 100
(2 1 1), 36.5°, I = 7
(0 0 2), 39.2°, I = 49
(2 2 1), 44.0°, I = 12
(3 1 1), 48.5°, I = 9
(2 2 2), 56.6°, I = 31
(2 0 3), 67.5°, I = 35
(4 0 2), 70.9°, I = 10

=====

> Number 2 is which compound?

CaHg2Pd3